No. 1
Tm3Ga7Co4: computed X-ray diffraction stick pattern (Cu Kα), based on a DFT-relaxed cell (PBE, Alexandria).
Kinematic intensities with the Lorentz-polarization factor, no thermal factor.

The 8 most intense peaks (2θ from 10° to 90°), by angle:
2θ/deg	I (rel.)
30.82	44
36.21	93
37.00	61
37.38	100
37.48	31
37.84	30
44.09	34
44.21	65

Unit cell a=7.752 b=7.752 c=9.061 alpha=123.11 beta=123.11 gamma=30.65
Fractional coordinates of all 14 atoms:
Tm (0.000, 0.000, 0.000)
Tm (0.307, 0.307, 0.295)
Tm (0.693, 0.693, 0.705)
Ga (0.000, 0.000, 0.500)
Ga (0.157, 0.157, 0.417)
Ga (0.320, 0.320, 0.972)
Ga (0.495, 0.495, 0.720)
Ga (0.505, 0.505, 0.280)
Ga (0.680, 0.680, 0.028)
Ga (0.843, 0.843, 0.583)
Co (0.113, 0.113, 0.830)
Co (0.333, 0.333, 0.713)
Co (0.667, 0.667, 0.287)
Co (0.887, 0.887, 0.170)

=====

No. 2
Ca2LaCu9: computed X-ray diffraction stick pattern (Cu Kα), based on a DFT-relaxed cell (PBE, Alexandria).
Kinematic intensities with the Lorentz-polarization factor, no thermal factor.

The 8 most intense peaks (2θ from 10° to 90°), by angle:
2θ/deg	I (rel.)
10.58	28
33.21	27
34.04	24
39.89	40
40.48	100
43.27	26
65.29	22
71.67	20

Unit cell a=5.267 b=5.267 c=16.729 alpha=90.00 beta=90.00 gamma=120.00
Fractional coordinates of all 24 atoms:
Ca (0.333, 0.667, 0.034)
Ca (0.333, 0.667, 0.466)
Ca (0.667, 0.333, 0.534)
Ca (0.667, 0.333, 0.966)
La (0.333, 0.667, 0.250)
La (0.667, 0.333, 0.750)
Cu (0.000, 0.000, 0.000)
Cu (0.000, 0.000, 0.250)
Cu (0.000, 0.000, 0.500)
Cu (0.000, 0.000, 0.750)
Cu (0.165, 0.331, 0.628)
Cu (0.165, 0.331, 0.872)
Cu (0.165, 0.835, 0.628)
Cu (0.165, 0.835, 0.872)
Cu (0.331, 0.165, 0.128)
Cu (0.331, 0.165, 0.372)
Cu (0.333, 0.667, 0.750)
Cu (0.667, 0.333, 0.250)
Cu (0.669, 0.835, 0.628)
Cu (0.669, 0.835, 0.872)
Cu (0.835, 0.165, 0.128)
Cu (0.835, 0.165, 0.372)
Cu (0.835, 0.669, 0.128)
Cu (0.835, 0.669, 0.372)

=====

No. 3
MgAl2Si2: computed X-ray diffraction stick pattern (Cu Kα), based on a DFT-relaxed cell (PBE, Alexandria).
Kinematic intensities with the Lorentz-polarization factor, no thermal factor.

The 8 most intense peaks (2θ from 10° to 90°), by angle:
2θ/deg	I (rel.)
25.17	23
28.59	70
37.15	100
44.34	93
48.54	43
59.18	25
76.85	23
84.69	18

Unit cell a=4.086 b=4.086 c=6.635 alpha=90.00 beta=90.00 gamma=120.00
Fractional coordinates of all 5 atoms:
Mg (0.000, 0.000, 0.000)
Al (0.333, 0.667, 0.366)
Al (0.667, 0.333, 0.634)
Si (0.333, 0.667, 0.758)
Si (0.667, 0.333, 0.242)

=====

No. 4
AcNdGa2Pd5: computed X-ray diffraction stick pattern (Cu Kα), based on a DFT-relaxed cell (PBE, Alexandria).
Kinematic intensities with the Lorentz-polarization factor, no thermal factor.

The 8 most intense peaks (2θ from 10° to 90°), by angle:
2θ/deg	I (rel.)
27.98	18
34.77	100
41.10	46
41.21	17
57.84	16
59.53	15
67.73	15
70.82	25

Unit cell a=4.392 b=4.392 c=9.271 alpha=90.00 beta=90.00 gamma=90.00
Fractional coordinates of all 9 atoms:
Ac (0.000, 0.000, 0.000)
Nd (0.000, 0.000, 0.500)
Ga (0.500, 0.500, 0.362)
Ga (0.500, 0.500, 0.638)
Pd (0.000, 0.500, 0.232)
Pd (0.000, 0.500, 0.768)
Pd (0.500, 0.000, 0.232)
Pd (0.500, 0.000, 0.768)
Pd (0.500, 0.500, 0.000)